No. 1
For Mn2ZnAs, the PBE geometry in Alexandria gives the theoretical powder XRD pattern in this record (Cu Kα (λ = 1.5418 Å)).

```
data_Mn2ZnAs
_chemical_formula_sum 'Mn4 Zn2 As2'
_symmetry_space_group_name_H-M 'I -4 m 2'
_symmetry_Int_Tables_number 119
_symmetry_space_group_name_Hall 'I -4 -2'
_cell_length_a 3.6708
_cell_length_b 3.6708
_cell_length_c 8.3811
_cell_angle_alpha 90.00
_cell_angle_beta 90.00
_cell_angle_gamma 90.00
loop_
_atom_site_label
_atom_site_type_symbol
_atom_site_fract_x
_atom_site_fract_y
_atom_site_fract_z
_atom_site_occupancy
Mn1 Mn 0.0000 0.0000 0.0000 1
Mn2 Mn 0.0000 0.5000 0.2500 1
Zn1 Zn 0.0000 0.0000 0.5000 1
As1 As 0.0000 0.5000 0.7500 1
```

Largest 8 diffraction maxima, sorted by position, 10° ≤ 2θ ≤ 80°:
| d [Å] | 2θ/deg | I/Imax |
| --- | --- | --- |
| 3.362 | 26.51 | 3 |
| 2.223 | 40.58 | 1 |
| 2.207 | 40.90 | 100 |
| 2.095 | 43.18 | 21 |
| 1.835 | 49.67 | 28 |
| 1.381 | 67.89 | 20 |
| 1.298 | 72.88 | 8 |
| 1.230 | 77.62 | 14 |

---

No. 2
For PrFeH8Ir2, the PBE geometry in Alexandria gives the theoretical powder XRD pattern in this record (Cu Kα (λ = 1.5418 Å)).

```
data_PrFeH8Ir2
_chemical_formula_sum 'Pr3 Fe3 H24 Ir6'
_symmetry_space_group_name_H-M 'R -3 m'
_symmetry_Int_Tables_number 166
_symmetry_space_group_name_Hall '-R 3 2"'
_cell_length_a 4.6849
_cell_length_b 4.6849
_cell_length_c 15.7248
_cell_angle_alpha 90.00
_cell_angle_beta 90.00
_cell_angle_gamma 120.00
loop_
_atom_site_label
_atom_site_type_symbol
_atom_site_fract_x
_atom_site_fract_y
_atom_site_fract_z
_atom_site_occupancy
Pr1 Pr 0.0000 0.0000 0.0000 1
Fe1 Fe 0.0000 0.0000 0.5000 1
H1 H 0.0000 0.0000 0.3153 1
H2 H 0.0559 0.5279 0.0840 1
Ir1 Ir 0.0000 0.0000 0.2113 1
```

Largest 8 diffraction maxima, sorted by position, 10° ≤ 2θ ≤ 80°:
| d [Å] | 2θ/deg | I/Imax |
| --- | --- | --- |
| 3.929 | 22.63 | 32 |
| 2.823 | 31.69 | 86 |
| 2.486 | 36.14 | 68 |
| 2.342 | 38.43 | 100 |
| 1.803 | 50.64 | 23 |
| 1.705 | 53.77 | 21 |
| 1.429 | 65.32 | 21 |
| 1.378 | 68.02 | 22 |

---

No. 3
For Ir4Rh5, the PBE geometry in Alexandria gives the theoretical powder XRD pattern in this record (Cu Kα (λ = 1.5418 Å)).

```
data_Ir4Rh5
_chemical_formula_sum 'Ir8 Rh10'
_symmetry_space_group_name_H-M 'I 4/m m m'
_symmetry_Int_Tables_number 139
_symmetry_space_group_name_Hall '-I 4 2'
_cell_length_a 8.1722
_cell_length_b 8.1722
_cell_length_c 3.8605
_cell_angle_alpha 90.00
_cell_angle_beta 90.00
_cell_angle_gamma 90.00
loop_
_atom_site_label
_atom_site_type_symbol
_atom_site_fract_x
_atom_site_fract_y
_atom_site_fract_z
_atom_site_occupancy
Ir1 Ir 0.0000 0.3360 0.0000 1
Rh1 Rh 0.0000 0.0000 0.0000 1
Rh2 Rh 0.1674 0.1674 0.5000 1
```

Largest 8 diffraction maxima, sorted by position, 10° ≤ 2θ ≤ 80°:
| d [Å] | 2θ/deg | I/Imax |
| --- | --- | --- |
| 5.779 | 15.33 | 10 |
| 3.491 | 25.52 | 1 |
| 2.654 | 33.77 | 5 |
| 2.226 | 40.53 | 100 |
| 1.930 | 47.08 | 16 |
| 1.926 | 47.18 | 32 |
| 1.763 | 51.85 | 2 |
| 1.363 | 68.89 | 31 |

---

No. 4
For Sc8AgOs2, the PBE geometry in Alexandria gives the theoretical powder XRD pattern in this record (Cu Kα (λ = 1.5418 Å)).

```
data_Sc8AgOs2
_chemical_formula_sum 'Sc16 Ag2 Os4'
_symmetry_space_group_name_H-M 'I m m 2'
_symmetry_Int_Tables_number 44
_symmetry_space_group_name_Hall 'I 2 -2'
_cell_length_a 4.8278
_cell_length_b 14.6086
_cell_length_c 6.4972
_cell_angle_alpha 90.00
_cell_angle_beta 90.00
_cell_angle_gamma 90.00
loop_
_atom_site_label
_atom_site_type_symbol
_atom_site_fract_x
_atom_site_fract_y
_atom_site_fract_z
_atom_site_occupancy
Sc1 Sc 0.0000 0.0000 0.0000 1
Sc2 Sc 0.0000 0.1133 0.5660 1
Sc3 Sc 0.0000 0.2925 0.8831 1
Sc4 Sc 0.0000 0.3361 0.4217 1
Sc5 Sc 0.0000 0.5000 0.7841 1
Ag1 Ag 0.0000 0.5000 0.2037 1
Os1 Os 0.0000 0.1696 0.1862 1
```

Largest 8 diffraction maxima, sorted by position, 10° ≤ 2θ ≤ 80°:
| d [Å] | 2θ/deg | I/Imax |
| --- | --- | --- |
| 3.897 | 22.82 | 69 |
| 3.875 | 22.95 | 58 |
| 3.428 | 25.99 | 49 |
| 2.435 | 36.92 | 24 |
| 2.414 | 37.25 | 42 |
| 2.358 | 38.16 | 100 |
| 2.062 | 43.92 | 37 |
| 2.052 | 44.13 | 25 |